The following is a computed XRD peak list of SrAu4. It was derived from a PBE-relaxed structure, using Cu Ka.
Intensities are scaled so that the largest is 100.

Top 8 peaks for 2θ = 10–90°, in order of rising 2θ:
- 5.874 Å, 15.08°, I 25.8
- 4.140 Å, 21.46°, I 40.6
- 2.933 Å, 30.48°, I 30.8
- 2.761 Å, 32.42°, I 100.0
- 2.212 Å, 40.79°, I 67.2
- 2.141 Å, 42.20°, I 72.5
- 2.075 Å, 43.61°, I 30.9
- 1.263 Å, 75.23°, I 27.4

Crystal structure
```
data_SrAu4
_symmetry_space_group_name_H-M 'P 1'
_symmetry_Int_Tables_number 1
_symmetry_space_group_name_Hall 'P 1'
_cell_length_a 6.6555
_cell_length_b 6.6555
_cell_length_c 6.6555
_cell_angle_alpha 141.18
_cell_angle_beta 141.18
_cell_angle_gamma 56.07
loop_
_atom_site_label
_atom_site_fract_x
_atom_site_fract_y
_atom_site_fract_z
Sr1 0.0000 0.0000 0.0000
Au1 0.2500 0.7500 0.5000
Au2 0.3899 0.3899 0.0000
Au3 0.6101 0.6101 0.0000
Au4 0.7500 0.2500 0.5000
```